Entry 1:
This entry pairs a crystal structure of TlNiO3 with its calculated powder XRD pattern. Radiation: Cu Kα, 1.54184 Å. Structure: a PBE+U-relaxed structure.

Peak list (10 most intense, 2θ from 10° to 90°, most intense first)
h k l, 2θ/deg, I/Imax
1 0 4, 33.32, 100
1 1 0, 33.46, 93
3 0 0, 59.75, 64
0 1 2, 23.44, 58
0 2 4, 47.94, 47
2 0 2, 41.26, 24
0 1 8, 59.47, 19
1 2 8, 79.83, 16
1 1 6, 53.94, 16
1 3 4, 80.05, 16

Crystal structure
```
data_TlNiO3
_chemical_formula_sum 'Tl6 Ni6 O18'
_symmetry_space_group_name_H-M 'R 3 c'
_symmetry_Int_Tables_number 161
_symmetry_space_group_name_Hall 'R 3 -2"c'
_cell_length_a 5.3567
_cell_length_b 5.3567
_cell_length_c 13.1975
_cell_angle_alpha 90.00
_cell_angle_beta 90.00
_cell_angle_gamma 120.00
loop_
_atom_site_label
_atom_site_fract_x
_atom_site_fract_y
_atom_site_fract_z
Tl1 0.0000 0.0000 0.0000
Ni1 0.0000 0.0000 0.2365
O1 0.0782 0.3413 0.3148
```

***

Entry 2:
This entry pairs a crystal structure of TlNiO3 with its calculated powder XRD pattern. Radiation: Cu Kα, 1.54184 Å. Structure: a PBE+U-relaxed structure.

Peak list (10 most intense, 2θ from 10° to 90°, most intense first)
h k l, 2θ/deg, I/Imax
1 1 1, 33.09, 100
1 1 -1, 23.33, 26
2 0 -2, 33.64, 24
3 1 -1, 59.81, 21
0 2 0, 32.82, 20
0 2 4, 58.75, 20
2 2 -2, 47.71, 19
0 0 2, 23.13, 16
0 0 4, 47.27, 13
1 3 -2, 54.63, 13

Crystal structure
```
data_TlNiO3
_chemical_formula_sum 'Tl4 Ni4 O12'
_symmetry_space_group_name_H-M 'P 1 21/c 1'
_symmetry_Int_Tables_number 14
_symmetry_space_group_name_Hall '-P 2ybc'
_cell_length_a 5.328
_cell_length_b 5.458
_cell_length_c 9.354
_cell_angle_alpha 90.00
_cell_angle_beta 124.68
_cell_angle_gamma 90.00
loop_
_atom_site_label
_atom_site_fract_x
_atom_site_fract_y
_atom_site_fract_z
Tl1 0.236 0.050 0.253
Ni1 0.000 0.000 0.500
Ni2 0.500 0.000 0.000
O1 0.133 0.210 0.939
O2 0.240 0.698 0.947
O3 0.349 0.048 0.744
```

***

Entry 3:
This entry pairs a crystal structure of TlNiO3 with its calculated powder XRD pattern. Radiation: Cu Kα, 1.54184 Å. Structure: a PBE+U-relaxed structure.

Peak list (10 most intense, 2θ from 10° to 90°, most intense first)
h k l, 2θ/deg, I/Imax
1 -1 0, 33.38, 100
1 1 0, 33.50, 100
0 1 0, 23.47, 52
2 0 0, 48.07, 37
-2 1 1, 59.66, 33
1 -1 1, 41.21, 30
-1 2 1, 59.77, 26
0 0 2, 47.90, 19
1 -3 0, 80.03, 17
0 2 -1, 54.08, 13

Crystal structure
```
data_TlNiO3
_chemical_formula_sum 'Tl1 Ni1 O3'
_symmetry_space_group_name_H-M 'P 1'
_symmetry_Int_Tables_number 1
_symmetry_space_group_name_Hall 'P 1'
_cell_length_a 3.785
_cell_length_b 3.786
_cell_length_c 3.798
_cell_angle_alpha 90.19
_cell_angle_beta 90.19
_cell_angle_gamma 90.23
loop_
_atom_site_label
_atom_site_fract_x
_atom_site_fract_y
_atom_site_fract_z
Tl1 0.000 0.000 0.000
Ni1 0.516 0.517 0.490
O1 0.018 0.542 0.489
O2 0.513 0.513 0.989
O3 0.539 0.019 0.480
```